For Na2Nb4O11, the PBE geometry in OQMD gives the simulated X-ray diffraction stick pattern in this record (Cu Kα (weighted mean of Kα1 and Kα2)).
Lines closer than 0.1° are merged.

Structural model:
Cell: 6.2483 6.2483 12.8042 Å, 103.96 103.96 59.42°
Fractional positions:
Na  0.2438  0.7562  0.5000
Na  0.4210  0.9134  0.9968
Na  0.7562  0.2438  0.0000
Na  0.9134  0.4210  0.4968
Nb  0.0862  0.5643  0.9982
Nb  0.2034  0.9636  0.2401
Nb  0.3369  0.4766  0.7540
Nb  0.4766  0.3369  0.2540
Nb  0.5643  0.0862  0.4982
Nb  0.7024  0.8406  0.7535
Nb  0.8406  0.7024  0.2535
Nb  0.9636  0.2034  0.7401
O  0.0329  0.2996  0.9095
O  0.0889  0.3371  0.2504
O  0.0918  0.8384  0.7514
O  0.1416  0.8746  0.0884
O  0.1835  0.6860  0.2860
O  0.2996  0.0329  0.4095
O  0.3371  0.0889  0.7504
O  0.3384  0.5280  0.9105
O  0.3391  0.3715  0.5922
O  0.3715  0.3391  0.0922
O  0.4953  0.9934  0.2151
O  0.5280  0.3384  0.4105
O  0.5819  0.5930  0.2489
O  0.5930  0.5819  0.7489
O  0.6491  0.8401  0.5919
O  0.6860  0.1835  0.7860
O  0.8042  0.8349  0.9091
O  0.8349  0.8042  0.4091
O  0.8384  0.0918  0.2514
O  0.8401  0.6491  0.0919
O  0.8746  0.1416  0.5884
O  0.9934  0.4953  0.7151

Principal peaks in the range 2θ = 15–90°, by angle:
2θ 17.2, d = 5.161 Å, intensity 52.7; 2θ 29.0, d = 3.075 Å, intensity 84.7; 2θ 29.5, d = 3.028 Å, intensity 100.0; 2θ 29.7, d = 3.003 Å, intensity 51.0; 2θ 32.1, d = 2.790 Å, intensity 45.3; 2θ 32.2, d = 2.780 Å, intensity 44.1; 2θ 32.4, d = 2.766 Å, intensity 39.1; 2θ 50.9, d = 1.793 Å, intensity 41.4; 2θ 53.6, d = 1.710 Å, intensity 30.8; 2θ 59.6, d = 1.550 Å, intensity 27.9

---

For RbNdCdTe3, the PBE geometry in OQMD gives the simulated X-ray diffraction stick pattern in this record (Cu Kα (weighted mean of Kα1 and Kα2)).
Lines closer than 0.1° are merged.

Structural model:
Cell: 12.8735 4.7380 14.1894 Å, 90.00 90.00 90.00°
Fractional positions:
Rb  0.1775  0.2500  0.0098
Rb  0.3225  0.7500  0.5098
Rb  0.6775  0.2500  0.4902
Rb  0.8225  0.7500  0.9902
Nd  0.0280  0.2500  0.3227
Nd  0.4720  0.7500  0.8227
Nd  0.5280  0.2500  0.1773
Nd  0.9720  0.7500  0.6773
Cd  0.2478  0.2500  0.7080
Cd  0.2522  0.7500  0.2080
Cd  0.7478  0.2500  0.7920
Cd  0.7522  0.7500  0.2920
Te  0.0371  0.7500  0.1682
Te  0.0928  0.2500  0.5645
Te  0.2210  0.7500  0.8191
Te  0.2790  0.2500  0.3191
Te  0.4072  0.7500  0.0645
Te  0.4629  0.2500  0.6682
Te  0.5371  0.7500  0.3318
Te  0.5928  0.2500  0.9355
Te  0.7210  0.7500  0.6809
Te  0.7790  0.2500  0.1809
Te  0.9072  0.7500  0.4355
Te  0.9629  0.2500  0.8318

Principal peaks in the range 2θ = 15–90°, by angle:
2θ 26.5, d = 3.361 Å, intensity 33.3; 2θ 27.5, d = 3.240 Å, intensity 96.8; 2θ 28.8, d = 3.105 Å, intensity 29.5; 2θ 30.5, d = 2.931 Å, intensity 47.1; 2θ 30.8, d = 2.902 Å, intensity 51.3; 2θ 32.3, d = 2.773 Å, intensity 76.7; 2θ 38.0, d = 2.368 Å, intensity 100.0; 2θ 44.4, d = 2.041 Å, intensity 27.5; 2θ 49.5, d = 1.843 Å, intensity 36.1; 2θ 51.7, d = 1.769 Å, intensity 28.3

---

For Te2Ir9, the PBE geometry in OQMD gives the simulated X-ray diffraction stick pattern in this record (Cu Kα (weighted mean of Kα1 and Kα2)).
Lines closer than 0.1° are merged.

Structural model:
Cell: 2.8353 2.8353 30.0356 Å, 90.00 90.00 120.00°
Fractional positions:
Te  0.3333  0.6667  0.3683
Te  0.6667  0.3333  0.6317
Ir  0.0000  0.0000  0.0000
Ir  0.0000  0.0000  0.2180
Ir  0.0000  0.0000  0.7820
Ir  0.3333  0.6667  0.1457
Ir  0.3333  0.6667  0.7085
Ir  0.3333  0.6667  0.9272
Ir  0.6667  0.3333  0.0728
Ir  0.6667  0.3333  0.2915
Ir  0.6667  0.3333  0.8543

Principal peaks in the range 2θ = 15–90°, by angle:
2θ 38.6, d = 2.334 Å, intensity 83.4; 2θ 39.0, d = 2.310 Å, intensity 18.9; 2θ 39.7, d = 2.273 Å, intensity 100.0; 2θ 42.1, d = 2.145 Å, intensity 33.5; 2θ 45.9, d = 1.978 Å, intensity 94.1; 2θ 47.8, d = 1.901 Å, intensity 15.7; 2θ 65.9, d = 1.417 Å, intensity 39.0; 2θ 67.9, d = 1.380 Å, intensity 27.0; 2θ 81.4, d = 1.183 Å, intensity 30.4; 2θ 84.0, d = 1.153 Å, intensity 32.5

---

For ZrP2H6O10, the PBE geometry in OQMD gives the simulated X-ray diffraction stick pattern in this record (Cu Kα (weighted mean of Kα1 and Kα2)).
Lines closer than 0.1° are merged.

Structural model:
Cell: 5.3022 6.5713 11.8870 Å, 90.00 99.67 90.00°
Fractional positions:
Zr  0.1859  0.0000  0.3662
Zr  0.8141  0.5000  0.6338
P  0.2536  0.4997  0.4389
P  0.3630  0.4046  0.8177
P  0.6370  0.9046  0.1823
P  0.7464  0.9997  0.5611
H  0.0281  0.9057  0.0930
H  0.0440  0.3436  0.0369
H  0.1397  0.5963  0.1111
H  0.1726  0.4403  0.2174
H  0.3576  0.9182  0.0299
H  0.4994  0.5817  0.1732
H  0.5006  0.0817  0.8268
H  0.6424  0.4182  0.9701
H  0.8274  0.9403  0.7826
H  0.8603  0.0963  0.8889
H  0.9560  0.8436  0.9631
H  0.9719  0.4057  0.9070
O  0.0878  0.8216  0.0331
O  0.0908  0.4910  0.7884
O  0.0978  0.4937  0.5363
O  0.1864  0.6873  0.3638
O  0.1866  0.3164  0.3580
O  0.2296  0.4711  0.1443
O  0.3365  0.1672  0.8091
O  0.4594  0.9987  0.5118
O  0.4600  0.9877  0.2600
O  0.4611  0.4728  0.9435
O  0.5389  0.9728  0.0565
O  0.5400  0.4877  0.7400
O  0.5406  0.4987  0.4882
O  0.6635  0.6672  0.1909
O  0.7704  0.9711  0.8557
O  0.8134  0.8164  0.6420
O  0.8136  0.1873  0.6362
O  0.9022  0.9937  0.4637
O  0.9092  0.9910  0.2116
O  0.9122  0.3216  0.9670

Principal peaks in the range 2θ = 15–90°, by angle:
2θ 15.5, d = 5.732 Å, intensity 100.0; 2θ 19.7, d = 4.500 Å, intensity 34.8; 2θ 20.3, d = 4.373 Å, intensity 16.6; 2θ 20.8, d = 4.273 Å, intensity 44.7; 2θ 24.7, d = 3.611 Å, intensity 44.1; 2θ 26.1, d = 3.416 Å, intensity 46.6; 2θ 27.1, d = 3.286 Å, intensity 55.1; 2θ 28.2, d = 3.164 Å, intensity 32.3; 2θ 33.8, d = 2.655 Å, intensity 45.5; 2θ 33.9, d = 2.647 Å, intensity 21.2

---

For YFeOs, the PBE geometry in OQMD gives the simulated X-ray diffraction stick pattern in this record (Cu Kα (weighted mean of Kα1 and Kα2)).
Lines closer than 0.1° are merged.

Structural model:
Cell: 5.2213 5.2570 7.5204 Å, 90.00 90.00 90.00°
Fractional positions:
Y  0.0000  0.2500  0.1228
Y  0.0000  0.7500  0.8772
Y  0.5000  0.2500  0.3772
Y  0.5000  0.7500  0.6228
Fe  0.0000  0.0000  0.5000
Fe  0.0000  0.5000  0.5000
Fe  0.5000  0.0000  0.0000
Fe  0.5000  0.5000  0.0000
Os  0.2500  0.2500  0.7500
Os  0.2500  0.7500  0.2500
Os  0.7500  0.2500  0.7500
Os  0.7500  0.7500  0.2500

Principal peaks in the range 2θ = 15–90°, by angle:
2θ 20.6, d = 4.309 Å, intensity 65.7; 2θ 23.7, d = 3.760 Å, intensity 24.3; 2θ 34.1, d = 2.629 Å, intensity 30.2; 2θ 39.8, d = 2.262 Å, intensity 65.4; 2θ 40.2, d = 2.241 Å, intensity 24.7; 2θ 40.4, d = 2.233 Å, intensity 100.0; 2θ 41.9, d = 2.154 Å, intensity 42.6; 2θ 42.1, d = 2.144 Å, intensity 43.7; 2θ 65.3, d = 1.429 Å, intensity 26.8; 2θ 71.5, d = 1.319 Å, intensity 32.6

---

For ErTmAg2Se4, the PBE geometry in OQMD gives the simulated X-ray diffraction stick pattern in this record (Cu Kα (weighted mean of Kα1 and Kα2)).
Lines closer than 0.1° are merged.

Structural model:
Cell: 9.5055 9.5102 4.2706 Å, 90.00 90.00 90.00°
Fractional positions:
Er  0.0000  0.0000  0.0000
Er  0.5000  0.5000  0.0000
Tm  0.0000  0.5000  0.5908
Tm  0.5000  0.0000  0.5908
Ag  0.2500  0.2500  0.7954
Ag  0.2500  0.7500  0.7954
Ag  0.7500  0.2500  0.7954
Ag  0.7500  0.7500  0.7954
Se  0.0000  0.2996  0.0801
Se  0.0000  0.7004  0.0801
Se  0.2022  0.0000  0.5106
Se  0.2978  0.5000  0.5106
Se  0.5000  0.2004  0.0801
Se  0.5000  0.7996  0.0801
Se  0.7022  0.5000  0.5106
Se  0.7978  0.0000  0.5106

Principal peaks in the range 2θ = 15–90°, by angle:
2θ 24.7, d = 3.605 Å, intensity 43.8; 2θ 26.5, d = 3.362 Å, intensity 32.1; 2θ 28.1, d = 3.177 Å, intensity 63.7; 2θ 33.9, d = 2.641 Å, intensity 54.5; 2θ 36.5, d = 2.458 Å, intensity 100.0; 2θ 37.9, d = 2.377 Å, intensity 85.2; 2θ 45.7, d = 1.984 Å, intensity 53.7; 2θ 46.6, d = 1.948 Å, intensity 46.7; 2θ 54.6, d = 1.681 Å, intensity 21.6; 2θ 61.6, d = 1.507 Å, intensity 26.5

---

For Er12Re5C15, the PBE geometry in OQMD gives the simulated X-ray diffraction stick pattern in this record (Cu Kα (weighted mean of Kα1 and Kα2)).
Lines closer than 0.1° are merged.

Structural model:
Cell: 10.6565 10.6565 5.0223 Å, 90.00 90.00 120.00°
Fractional positions:
Er  0.0000  0.4265  0.0000
Er  0.0000  0.7950  0.0000
Er  0.1858  0.7300  0.5000
Er  0.2050  0.2050  0.0000
Er  0.2700  0.4559  0.5000
Er  0.4265  0.0000  0.0000
Er  0.4559  0.2700  0.5000
Er  0.5441  0.8142  0.5000
Er  0.5735  0.5735  0.0000
Er  0.7300  0.1858  0.5000
Er  0.7950  0.0000  0.0000
Er  0.8142  0.5441  0.5000
Re  0.0000  0.1523  0.5000
Re  0.1523  0.0000  0.5000
Re  0.3333  0.6667  0.0000
Re  0.6667  0.3333  0.0000
Re  0.8477  0.8477  0.5000
C  0.0000  0.3344  0.5000
C  0.0000  0.4617  0.5000
C  0.0000  0.7831  0.5000
C  0.1890  0.7232  0.0000
C  0.2169  0.2169  0.5000
C  0.2768  0.4658  0.0000
C  0.3344  0.0000  0.5000
C  0.4617  0.0000  0.5000
C  0.4658  0.2768  0.0000
C  0.5342  0.8110  0.0000
C  0.5383  0.5383  0.5000
C  0.6656  0.6656  0.5000
C  0.7232  0.1890  0.0000
C  0.7831  0.0000  0.5000
C  0.8110  0.5342  0.0000

Principal peaks in the range 2θ = 15–90°, by angle:
2θ 31.2, d = 2.865 Å, intensity 100.0; 2θ 34.2, d = 2.623 Å, intensity 21.6; 2θ 35.1, d = 2.560 Å, intensity 39.9; 2θ 35.8, d = 2.511 Å, intensity 35.5; 2θ 38.2, d = 2.353 Å, intensity 14.3; 2θ 39.5, d = 2.281 Å, intensity 7.6; 2θ 50.9, d = 1.793 Å, intensity 27.6; 2θ 61.4, d = 1.509 Å, intensity 15.2; 2θ 69.3, d = 1.355 Å, intensity 7.9; 2θ 86.3, d = 1.127 Å, intensity 7.5

---

For Dy3AlFeS7, the PBE geometry in OQMD gives the simulated X-ray diffraction stick pattern in this record (Cu Kα (weighted mean of Kα1 and Kα2)).
Lines closer than 0.1° are merged.

Structural model:
Cell: 9.5987 6.1063 9.6246 Å, 90.00 119.74 90.00°
Fractional positions:
Dy  0.1234  0.0000  0.3478
Dy  0.2739  0.4977  0.1203
Dy  0.3491  0.4995  0.7247
Dy  0.6509  0.9995  0.2753
Dy  0.7261  0.9977  0.8797
Dy  0.8766  0.5000  0.6522
Al  0.1671  0.9223  0.8326
Al  0.8329  0.4223  0.1674
Fe  0.4974  0.8244  0.4956
Fe  0.5026  0.3244  0.5044
S  0.0191  0.7674  0.9286
S  0.0722  0.7662  0.5903
S  0.1659  0.2889  0.8319
S  0.2618  0.5866  0.3979
S  0.3633  0.0879  0.2622
S  0.3980  0.0863  0.6367
S  0.4100  0.7673  0.9808
S  0.5900  0.2673  0.0192
S  0.6020  0.5863  0.3633
S  0.6367  0.5879  0.7378
S  0.7382  0.0866  0.6021
S  0.8341  0.7889  0.1681
S  0.9278  0.2662  0.4097
S  0.9809  0.2674  0.0714

Principal peaks in the range 2θ = 15–90°, by angle:
2θ 18.0, d = 4.926 Å, intensity 50.4; 2θ 23.5, d = 3.780 Å, intensity 21.1; 2θ 25.9, d = 3.442 Å, intensity 100.0; 2θ 28.3, d = 3.155 Å, intensity 24.3; 2θ 34.8, d = 2.578 Å, intensity 18.8; 2θ 35.5, d = 2.532 Å, intensity 25.0; 2θ 36.5, d = 2.463 Å, intensity 38.9; 2θ 37.3, d = 2.409 Å, intensity 24.1; 2θ 41.1, d = 2.194 Å, intensity 24.1; 2θ 49.9, d = 1.829 Å, intensity 32.0